[1]
Starting from a DFT-relaxed cell (GGA-PBE, Alexandria), the powder XRD pattern of Nb15IrS32 was computed for CuKα.
Peak positions follow from Bragg's law for the DFT cell and can differ from measured ones.

The 8 most intense peaks (10 to 90 degrees two-theta), sorted by position:
2theta	d_spacing	intensity
13.50	6.561	100
30.34	2.946	10
33.29	2.691	22
33.45	2.678	42
41.11	2.196	10
41.26	2.188	20
41.39	2.181	16
54.17	1.693	10

abc: 8.985 8.989 14.343
angles: 104.97 105.53 98.73
Space group P1 (No. 1)
Symmetry-distinct sites (fractional):
Nb1 0.000 0.000 0.000
Nb2 0.002 0.530 0.498
Nb3 0.124 0.380 0.000
Nb4 0.170 0.898 0.498
Nb5 0.281 0.249 0.498
Nb6 0.295 0.764 0.996
Nb7 0.385 0.609 0.498
Nb8 0.420 0.144 0.996
Nb9 0.527 0.506 0.998
Nb10 0.632 0.361 0.498
Nb11 0.650 0.870 0.999
Nb12 0.769 0.273 0.997
Nb13 0.777 0.756 0.499
Nb14 0.894 0.637 0.998
Nb15 0.922 0.147 0.498
Ir1 0.502 0.029 0.498
S1 0.002 0.983 0.611
S2 0.045 0.031 0.376
S3 0.051 0.538 0.884
S4 0.122 0.368 0.614
S5 0.124 0.858 0.112
S6 0.162 0.410 0.382
S7 0.177 0.916 0.889
S8 0.243 0.228 0.106
S9 0.246 0.734 0.614
S10 0.295 0.286 0.884
S11 0.309 0.788 0.385
S12 0.368 0.605 0.111
S13 0.379 0.120 0.625
S14 0.409 0.153 0.371
S15 0.423 0.653 0.875
S16 0.501 0.484 0.621
S17 0.504 0.988 0.116
S18 0.547 0.531 0.386
S19 0.552 0.032 0.880
S20 0.605 0.865 0.598
S21 0.628 0.367 0.122
S22 0.664 0.927 0.399
S23 0.670 0.409 0.876
S24 0.744 0.220 0.611
S25 0.750 0.734 0.120
S26 0.792 0.776 0.874
S27 0.796 0.287 0.382
S28 0.860 0.608 0.618
S29 0.868 0.111 0.116
S30 0.915 0.156 0.879
S31 0.921 0.673 0.378
S32 0.996 0.490 0.121

---

[2]
Starting from a DFT-relaxed cell (GGA-PBE, Alexandria), the powder XRD pattern of Nb4IrSe10 was computed for CuKα.
Peak positions follow from Bragg's law for the DFT cell and can differ from measured ones.

The 8 most intense peaks (10 to 90 degrees two-theta), sorted by position:
2theta	d_spacing	intensity
12.96	6.833	100
31.88	2.807	41
32.03	2.794	34
32.67	2.741	41
39.29	2.293	27
39.44	2.285	17
40.19	2.244	26
49.65	1.836	14

abc: 6.072 7.672 9.182
angles: 65.85 70.74 88.28
Space group P-1 (No. 2)
Symmetry-distinct sites (fractional):
Nb1 0.176 0.201 0.294
Nb2 0.260 0.598 0.902
Ir1 0.500 0.000 0.500
Se1 0.007 0.454 0.795
Se2 0.169 0.943 0.778
Se3 0.215 0.850 0.420
Se4 0.408 0.348 0.404
Se5 0.439 0.260 0.999

---

[3]
Starting from a DFT-relaxed cell (GGA-PBE, Alexandria), the powder XRD pattern of NbIrSe4 was computed for CuKα.
Peak positions follow from Bragg's law for the DFT cell and can differ from measured ones.

The 8 most intense peaks (10 to 90 degrees two-theta), sorted by position:
2theta	d_spacing	intensity
13.31	6.651	100
29.06	3.072	12
31.00	2.885	15
33.46	2.678	66
36.63	2.453	24
42.20	2.142	21
47.84	1.901	23
50.34	1.813	12

abc: 13.649 3.625 5.920
angles: 90.00 102.96 90.00
Space group Cm (No. 8)
Symmetry-distinct sites (fractional):
Nb1 0.000 0.000 0.000
Ir1 0.009 0.500 0.398
Se1 0.107 0.500 0.820
Se2 0.136 0.000 0.355
Se3 0.370 0.000 0.034
Se4 0.409 0.500 0.538

---

[4]
Starting from a DFT-relaxed cell (GGA-PBE, Alexandria), the powder XRD pattern of Nb9IrSe20 was computed for CuKα.
Peak positions follow from Bragg's law for the DFT cell and can differ from measured ones.

The 8 most intense peaks (10 to 90 degrees two-theta), sorted by position:
2theta	d_spacing	intensity
13.35	6.634	100
32.36	2.767	57
32.61	2.746	63
32.63	2.744	60
40.35	2.235	57
40.45	2.230	37
51.17	1.785	46
52.25	1.751	30

abc: 6.953 9.662 11.392
angles: 80.81 81.17 68.91
Space group P-1 (No. 2)
Symmetry-distinct sites (fractional):
Nb1 0.000 0.000 0.000
Nb2 0.081 0.222 0.220
Nb3 0.192 0.411 0.411
Nb4 0.309 0.590 0.589
Nb5 0.415 0.778 0.780
Ir1 0.500 0.000 0.000
Se1 0.047 0.694 0.428
Se2 0.057 0.502 0.764
Se3 0.151 0.719 0.959
Se4 0.153 0.883 0.623
Se5 0.249 0.933 0.165
Se6 0.265 0.067 0.835
Se7 0.345 0.121 0.377
Se8 0.355 0.268 0.044
Se9 0.441 0.498 0.235
Se10 0.454 0.306 0.573

---

[5]
Starting from a DFT-relaxed cell (GGA-PBE, Alexandria), the powder XRD pattern of Nb3IrSe8 was computed for CuKα.
Peak positions follow from Bragg's law for the DFT cell and can differ from measured ones.

The 8 most intense peaks (10 to 90 degrees two-theta), sorted by position:
2theta	d_spacing	intensity
12.71	6.963	100
32.77	2.733	84
33.00	2.714	43
39.83	2.263	34
40.08	2.250	27
40.21	2.243	16
50.07	1.822	28
53.57	1.711	37

abc: 11.849 6.844 9.088
angles: 90.00 129.99 90.00
Space group C2/m (No. 12)
Symmetry-distinct sites (fractional):
Nb1 0.000 0.000 0.000
Nb2 0.250 0.250 0.000
Ir1 0.000 0.500 0.000
Se1 0.041 0.500 0.756
Se2 0.046 0.000 0.756
Se3 0.201 0.258 0.243

---

[6]
Starting from a DFT-relaxed cell (GGA-PBE, Alexandria), the powder XRD pattern of Ta5Nb5Ir2 was computed for CuKα.
Peak positions follow from Bragg's law for the DFT cell and can differ from measured ones.

The 8 most intense peaks (10 to 90 degrees two-theta), sorted by position:
2theta	d_spacing	intensity
38.92	2.314	100
39.00	2.310	50
56.24	1.636	9
56.26	1.635	17
70.39	1.338	13
70.55	1.335	26
70.64	1.334	13
83.76	1.155	6

abc: 13.862 4.623 8.028
angles: 90.00 125.30 90.00
Space group C2/m (No. 12)
Symmetry-distinct sites (fractional):
Ta1 0.000 0.000 0.000
Ta2 0.086 0.000 0.420
Ta3 0.166 0.000 0.836
Nb1 0.000 0.500 0.500
Nb2 0.083 0.500 0.914
Nb3 0.250 0.000 0.256
Ir1 0.165 0.500 0.329